No. 1
Simulated powder XRD pattern of Tb12PrNd6 for copper Kα, from a DFT-relaxed cell (PBE, Alexandria).
Kinematic intensities with the Lorentz-polarization factor, no thermal factor.

Atomic structure:
a = 11.1939 Å, b = 11.1939 Å, c = 17.6216 Å
α = 90.00°, β = 90.00°, γ = 120.00°
Space group R-3m (No. 166, hexagonal axes)
One atom of each set of equivalent atoms:
Tb 0.1030 0.5515 0.4144
Tb 0.1061 0.2123 0.4094
Pr 0.0000 0.0000 0.0000
Nd 0.0698 0.5349 0.7654

Main lines, in order of rising 2θ (2θ = 15–90°):
hkl 3 0 0, 27.60 deg, intensity 19.9; hkl 0 0 6, 30.44 deg, intensity 21.9; hkl 2 0 5, 31.38 deg, intensity 5.8; hkl 0 3 3, 31.60 deg, intensity 100.0; hkl 3 0 6, 41.55 deg, intensity 18.3; hkl 3 3 0, 48.81 deg, intensity 18.9; hkl 3 0 9, 54.82 deg, intensity 16.4; hkl 3 3 6, 58.62 deg, intensity 15.3; hkl 6 0 3, 59.32 deg, intensity 13.2; hkl 3 6 3, 80.29 deg, intensity 7.5

***

No. 2
Simulated powder XRD pattern of Tb4Pr5Nd4 for copper Kα, from a DFT-relaxed cell (PBE, Alexandria).
Kinematic intensities with the Lorentz-polarization factor, no thermal factor.

Atomic structure:
a = 13.217 Å, b = 13.217 Å, c = 5.156 Å
α = 90.00°, β = 90.00°, γ = 90.00°
Space group I4/m (No. 87)
One atom of each set of equivalent atoms:
Tb 0.155 0.768 0.000
Pr 0.000 0.000 0.000
Pr 0.040 0.193 0.500
Nd 0.077 0.383 0.000

Main lines, in order of rising 2θ (2θ = 15–90°):
hkl 3 2 1, 29.91 deg, intensity 100.0; hkl 1 5 0, 34.60 deg, intensity 34.0; hkl 0 0 2, 34.80 deg, intensity 16.7; hkl 6 4 0, 49.74 deg, intensity 12.2; hkl 1 5 2, 49.89 deg, intensity 24.2; hkl 8 1 1, 59.13 deg, intensity 29.0; hkl 3 2 3, 59.39 deg, intensity 14.3; hkl 6 4 2, 62.14 deg, intensity 12.5; hkl 9 6 1, 80.84 deg, intensity 5.9; hkl 8 1 3, 81.06 deg, intensity 11.7

***

No. 3
Simulated powder XRD pattern of TbPr4Nd4 for copper Kα, from a DFT-relaxed cell (PBE, Alexandria).
Kinematic intensities with the Lorentz-polarization factor, no thermal factor.

Atomic structure:
a = 11.051 Å, b = 11.051 Å, c = 5.215 Å
α = 90.00°, β = 90.00°, γ = 90.00°
Space group I4/mmm (No. 139)
One atom of each set of equivalent atoms:
Tb 0.000 0.000 0.000
Pr 0.000 0.332 0.000
Nd 0.166 0.166 0.500

Main lines, in order of rising 2θ (2θ = 15–90°):
hkl 3 0 1, 29.69 deg, intensity 100.0; hkl 3 3 0, 34.42 deg, intensity 50.7; hkl 6 0 0, 49.47 deg, intensity 36.4; hkl 6 3 1, 58.77 deg, intensity 43.4; hkl 6 0 2, 61.66 deg, intensity 12.5; hkl 0 0 4, 72.56 deg, intensity 5.8; hkl 9 0 1, 80.31 deg, intensity 17.6; hkl 6 6 2, 82.84 deg, intensity 16.3

***

No. 4
Simulated powder XRD pattern of TbPr5Nd3 for copper Kα, from a DFT-relaxed cell (PBE, Alexandria).
Kinematic intensities with the Lorentz-polarization factor, no thermal factor.

Atomic structure:
a = 17.031 Å, b = 8.598 Å, c = 12.422 Å
α = 90.00°, β = 130.98°, γ = 90.00°
Space group C2/m (No. 12)
One atom of each set of equivalent atoms:
Tb 0.114 0.000 0.372
Pr 0.000 0.316 0.500
Pr 0.059 0.500 0.915
Pr 0.154 0.000 0.854
Pr 0.212 0.307 0.274
Nd 0.000 0.000 0.000
Nd 0.000 0.000 0.500
Nd 0.140 0.500 0.449
Nd 0.207 0.500 0.801

Main lines, in order of rising 2θ (2θ = 15–90°):
hkl 0 2 0, 20.66 deg, intensity 42.8; hkl 2 2 -2, 25.23 deg, intensity 35.1; hkl 5 1 -2, 28.43 deg, intensity 46.1; hkl 2 0 2, 30.06 deg, intensity 77.0; hkl 2 2 -3, 30.36 deg, intensity 32.7; hkl 3 1 -4, 30.86 deg, intensity 100.0; hkl 6 0 -3, 31.54 deg, intensity 32.1; hkl 1 3 1, 34.75 deg, intensity 22.6; hkl 4 0 -5, 36.33 deg, intensity 16.7; hkl 0 4 0, 42.03 deg, intensity 17.5

***

No. 5
Simulated powder XRD pattern of Tb3Pr2Nd9 for copper Kα, from a DFT-relaxed cell (PBE, Alexandria).
Kinematic intensities with the Lorentz-polarization factor, no thermal factor.

Atomic structure:
a = 9.2096 Å, b = 9.2096 Å, c = 13.8855 Å
α = 90.00°, β = 90.00°, γ = 120.00°
Space group P6_3/m (No. 176)
One atom of each set of equivalent atoms:
Tb 0.0777 0.2483 0.2500
Pr 0.3333 0.6667 0.1393
Nd 0.0820 0.4813 0.7500
Nd 0.1289 0.7239 0.5406

Main lines, in order of rising 2θ (2θ = 15–90°):
hkl 0 0 4, 25.66 deg, intensity 21.0; hkl 2 0 3, 29.58 deg, intensity 39.8; hkl 2 1 1, 30.34 deg, intensity 65.4; hkl 2 1 2, 32.36 deg, intensity 100.0; hkl 1 0 5, 34.19 deg, intensity 21.2; hkl 2 1 3, 35.54 deg, intensity 21.5; hkl 3 0 4, 42.87 deg, intensity 10.3; hkl 1 4 0, 52.58 deg, intensity 25.8; hkl 1 3 5, 52.92 deg, intensity 16.0; hkl 1 4 4, 59.41 deg, intensity 14.5

***

No. 6
Simulated powder XRD pattern of Tb3Pr3Nd5 for copper Kα, from a DFT-relaxed cell (PBE, Alexandria).
Kinematic intensities with the Lorentz-polarization factor, no thermal factor.

Atomic structure:
a = 9.8372 Å, b = 9.8372 Å, c = 5.4853 Å
α = 90.00°, β = 90.00°, γ = 120.00°
Space group P-62m (No. 189)
One atom of each set of equivalent atoms:
Tb 0.0000 0.4739 0.0000
Pr 0.0000 0.6405 0.5000
Nd 0.0000 0.2658 0.5000
Nd 0.3333 0.6667 0.5000

Main lines, in order of rising 2θ (2θ = 15–90°):
hkl 0 0 1, 16.16 deg, intensity 50.8; hkl 2 0 1, 26.49 deg, intensity 86.7; hkl 2 1 0, 27.70 deg, intensity 40.1; hkl 3 0 0, 31.50 deg, intensity 40.8; hkl 2 1 1, 32.24 deg, intensity 52.5; hkl 0 0 2, 32.65 deg, intensity 52.0; hkl 3 0 1, 35.60 deg, intensity 100.0; hkl 3 0 2, 46.01 deg, intensity 28.6; hkl 4 2 1, 59.87 deg, intensity 25.9; hkl 3 0 3, 60.18 deg, intensity 28.8

***

No. 7
Simulated powder XRD pattern of Tb3Pr4Nd4 for copper Kα, from a DFT-relaxed cell (PBE, Alexandria).
Kinematic intensities with the Lorentz-polarization factor, no thermal factor.

Atomic structure:
a = 3.686 Å, b = 9.621 Å, c = 22.116 Å
α = 90.00°, β = 90.00°, γ = 90.00°
Space group Immm (No. 71)
One atom of each set of equivalent atoms:
Tb 0.000 0.000 0.000
Tb 0.000 0.500 0.107
Pr 0.000 0.000 0.262
Pr 0.000 0.187 0.500
Nd 0.000 0.326 0.357

Main lines, in order of rising 2θ (2θ = 15–90°):
hkl 0 3 3, 30.39 deg, intensity 47.4; hkl 1 1 4, 30.59 deg, intensity 100.0; hkl 1 2 1, 30.83 deg, intensity 44.6; hkl 0 0 8, 32.38 deg, intensity 23.8; hkl 0 3 5, 34.55 deg, intensity 15.1; hkl 1 3 2, 38.07 deg, intensity 13.8; hkl 1 2 7, 42.09 deg, intensity 20.7; hkl 2 0 0, 49.45 deg, intensity 13.4; hkl 1 5 4, 56.42 deg, intensity 39.1; hkl 2 3 3, 59.19 deg, intensity 19.9

***

No. 8
Simulated powder XRD pattern of Tb2Pr6Nd3 for copper Kα, from a DFT-relaxed cell (PBE, Alexandria).
Kinematic intensities with the Lorentz-polarization factor, no thermal factor.

Atomic structure:
a = 3.6768 Å, b = 3.6768 Å, c = 99.1215 Å
α = 90.00°, β = 90.00°, γ = 120.00°
Space group R-3m (No. 166, hexagonal axes)
One atom of each set of equivalent atoms:
Tb 0.0000 0.0000 0.0453
Pr 0.0000 0.0000 0.1361
Pr 0.0000 0.0000 0.3178
Pr 0.0000 0.0000 0.4083
Nd 0.0000 0.0000 0.2277
Nd 0.0000 0.0000 0.5000

Main lines, in order of rising 2θ (2θ = 15–90°):
hkl 0 1 11, 29.75 deg, intensity 100.0; hkl 1 0 22, 34.49 deg, intensity 50.7; hkl 1 1 0, 49.58 deg, intensity 36.3; hkl 2 0 11, 58.90 deg, intensity 43.1; hkl 0 2 22, 61.79 deg, intensity 12.4; hkl 2 0 44, 72.73 deg, intensity 5.7; hkl 1 2 11, 80.50 deg, intensity 17.4; hkl 2 1 22, 83.05 deg, intensity 16.1